For MgCuH4O2F2, DFT lattice parameters and positions (PBE) gives the computed powder X-ray diffraction pattern in this record (Cu Ka).
Kinematic intensities with the Lorentz-polarization factor, no thermal factor.

Peak list (10 most intense, 10 to 80 degrees two-theta, sorted by position)
- 2θ 15.42, intensity 100
- 2θ 24.05, intensity 39
- 2θ 29.82, intensity 23
- 2θ 31.13, intensity 24
- 2θ 32.58, intensity 26
- 2θ 34.86, intensity 43
- 2θ 35.32, intensity 17
- 2θ 38.24, intensity 18
- 2θ 41.14, intensity 21
- 2θ 46.82, intensity 23

Cell lengths 5.949, 5.949, 3.221 Å; angles 99.28, 99.28, 100.01 degrees
Element x y z (fractional)
Mg (0.000, 0.000, 0.000)
Cu (0.772, 0.228, 0.500)
H (0.144, 0.646, 0.394)
H (0.354, 0.856, 0.606)
H (0.403, 0.400, 0.321)
H (0.600, 0.597, 0.679)
O (0.182, 0.818, 0.500)
O (0.563, 0.437, 0.500)
F (0.150, 0.333, 0.101)
F (0.667, 0.850, 0.899)